Entry 1:
This entry pairs a crystal structure of Te4Mo3WS4 with its computed powder XRD pattern. Radiation: Cu Kα (weighted mean of Kα1 and Kα2). Structure: a DFT-relaxed cell (GGA-PBE, Alexandria).

Top 12 peaks for 10° ≤ 2θ ≤ 90°, in order of rising 2θ:
2θ 11.65, I = 93
2θ 13.99, I = 14
2θ 30.73, I = 53
2θ 32.96, I = 14
2θ 34.98, I = 15
2θ 36.20, I = 100
2θ 38.99, I = 17
2θ 40.54, I = 16
2θ 43.91, I = 49
2θ 54.62, I = 34
2θ 67.29, I = 17
2θ 77.55, I = 16

Structural model:
Cell: 3.3611 3.3611 37.9760 Å, 90.00 90.00 120.00°
Fractional positions:
Te  0.0000  0.0000  0.0000
Te  0.0000  0.0000  0.1003
Te  0.0000  0.0000  0.3785
Te  0.0000  0.0000  0.4781
Mo  0.0000  0.0000  0.2388
Mo  0.0000  0.0000  0.8604
Mo  0.3333  0.6667  0.4284
W  0.3333  0.6667  0.0501
S  0.3333  0.6667  0.1990
S  0.3333  0.6667  0.2786
S  0.3333  0.6667  0.8206
S  0.3333  0.6667  0.9002


Entry 2:
This entry pairs a crystal structure of Ti2Mo2S7 with its computed powder XRD pattern. Radiation: Cu Kα (weighted mean of Kα1 and Kα2). Structure: a DFT-relaxed cell (GGA-PBE, Alexandria).

Top 12 peaks for 10° ≤ 2θ ≤ 90°, in order of rising 2θ:
2θ 13.21, I = 30
2θ 26.23, I = 59
2θ 26.60, I = 28
2θ 29.56, I = 37
2θ 32.50, I = 38
2θ 36.31, I = 20
2θ 40.18, I = 100
2θ 46.35, I = 66
2θ 46.74, I = 42
2θ 56.22, I = 21
2θ 72.26, I = 21
2θ 76.04, I = 19

Structural model:
Cell: 7.9454 7.9454 7.9454 Å, 156.23 64.96 120.54°
Fractional positions:
Ti  0.2457  0.0000  0.2457
Ti  0.7543  0.0000  0.7543
Mo  0.2886  0.7886  0.5000
Mo  0.7897  0.7897  0.0000
S  0.1010  0.4990  0.6020
S  0.1542  0.2985  0.8557
S  0.4428  0.2985  0.1443
S  0.5161  0.6969  0.8192
S  0.5781  0.0781  0.5000
S  0.8776  0.6969  0.1808
S  0.8971  0.4990  0.3980